(1)
The following is a calculated powder X-ray diffraction pattern of La12Sm7Sc. It was derived from a cell relaxed with GGA-PBE, using Cu Kα, 1.54184 Å.
Peak positions follow from Bragg's law for the DFT cell and can differ from measured ones.

Principal peaks in the range 15 to 90 degrees two-theta, most intense first:
| (hkl) | two_theta | I_rel |
| --- | --- | --- |
| 0 5 1 | 29.77 | 100 |
| 3 3 0 | 27.27 | 27 |
| 5 2 0 | 32.92 | 22 |
| 5 1 1 | 32.49 | 21 |
| 5 0 2 | 38.62 | 21 |
| 7 0 1 | 39.71 | 18 |
| 3 2 1 | 26.77 | 18 |
| 3 1 2 | 33.83 | 17 |
| 0 7 2 | 46.96 | 17 |
| 0 1 2 | 28.35 | 17 |

Structure:
abc: 19.6217 19.6217 6.4079
angles: 90.00 90.00 120.00
Space group R-3m (No. 166, hexagonal axes)
Asymmetric unit:
La1 0.0000 0.4076 0.0000 x18
La2 0.0974 0.5487 0.4823 x18
Sm1 0.0000 0.0000 0.0000 x3
Sm2 0.0823 0.1647 0.3074 x18
Sc1 0.0000 0.0000 0.5000 x3

(2)
The following is a calculated powder X-ray diffraction pattern of Pm6As2Se3. It was derived from a cell relaxed with GGA-PBE, using Cu Kα, 1.54184 Å.
Peak positions follow from Bragg's law for the DFT cell and can differ from measured ones.

Principal peaks in the range 15 to 90 degrees two-theta, most intense first:
| (hkl) | two_theta | I_rel |
| --- | --- | --- |
| 2 -1 1 | 28.08 | 100 |
| 2 -1 2 | 35.65 | 64 |
| 3 0 0 | 44.23 | 40 |
| 1 1 3 | 45.87 | 27 |
| 3 0 4 | 69.84 | 20 |
| 2 2 1 | 53.21 | 17 |
| 2 2 2 | 58.05 | 15 |
| 5 -1 2 | 75.78 | 14 |
| 5 -1 1 | 71.62 | 14 |
| 4 1 3 | 82.56 | 10 |

Structure:
abc: 7.0939 7.0939 7.1511
angles: 90.00 90.00 120.00
Space group P-31m (No. 162)
Asymmetric unit:
Pm1 0.0000 0.3359 0.2428 x6
As1 0.3333 0.6667 0.0000 x2
Se1 0.0000 0.0000 0.0000 x1
Se2 0.3333 0.6667 0.5000 x2

(3)
The following is a calculated powder X-ray diffraction pattern of Pm2Sm4DyMg. It was derived from a cell relaxed with GGA-PBE, using Cu Kα, 1.54184 Å.
Peak positions follow from Bragg's law for the DFT cell and can differ from measured ones.

Principal peaks in the range 15 to 90 degrees two-theta, most intense first:
| (hkl) | two_theta | I_rel |
| --- | --- | --- |
| 1 1 2 | 30.63 | 100 |
| 2 0 0 | 35.64 | 33 |
| 3 1 2 | 60.93 | 28 |
| 2 0 4 | 51.02 | 24 |
| 0 0 4 | 35.28 | 17 |
| 1 1 6 | 60.45 | 14 |
| 2 2 4 | 63.78 | 12 |
| 2 2 0 | 51.28 | 12 |
| 3 1 6 | 83.19 | 12 |
| 3 3 2 | 83.61 | 6 |

Structure:
abc: 5.0387 5.0387 10.1768
angles: 90.00 90.00 90.00
Space group P4/mmm (No. 123)
Asymmetric unit:
Pm1 0.0000 0.0000 0.0000 x1
Pm2 0.5000 0.5000 0.5000 x1
Sm1 0.0000 0.5000 0.2478 x4
Dy1 0.0000 0.0000 0.5000 x1
Mg1 0.5000 0.5000 0.0000 x1

(4)
The following is a calculated powder X-ray diffraction pattern of Li10Te4S. It was derived from a cell relaxed with GGA-PBE, using Cu Kα, 1.54184 Å.
Peak positions follow from Bragg's law for the DFT cell and can differ from measured ones.

Principal peaks in the range 15 to 90 degrees two-theta, most intense first:
| (hkl) | two_theta | I_rel |
| --- | --- | --- |
| 0 1 5 | 24.17 | 100 |
| 1 1 0 | 39.99 | 45 |
| 1 0 10 | 27.98 | 42 |
| 2 0 5 | 47.25 | 35 |
| 3 0 0 | 72.58 | 11 |
| 1 0 25 | 47.35 | 10 |
| 3 0 15 | 77.79 | 10 |
| 1 2 5 | 63.52 | 10 |
| 0 2 10 | 49.48 | 8 |
| 2 1 10 | 65.39 | 7 |

Structure:
abc: 4.5143 4.5143 55.0951
angles: 90.00 90.00 120.00
Space group R-3m (No. 166, hexagonal axes)
Asymmetric unit:
Li1 0.0000 0.0000 0.0444 x6
Li2 0.0000 0.0000 0.1498 x6
Li3 0.0000 0.0000 0.2526 x6
Li4 0.0000 0.0000 0.3458 x6
Li5 0.0000 0.0000 0.4478 x6
Te1 0.0000 0.0000 0.2012 x6
Te2 0.0000 0.0000 0.3965 x6
S1 0.0000 0.0000 0.0000 x3